1.
For Ce8Sn2Rh3, the GGA-PBE geometry in Alexandria gives the computed X-ray diffraction stick pattern in this record (a wavelength of 1.5418 Å).
Peak positions follow from Bragg's law for the DFT cell and can differ from measured ones.

Most intense lines, 10 to 90 degrees two-theta, sorted by position:
28.1°, I = 30; 28.4°, I = 22; 29.5°, I = 25; 29.7°, I = 30; 30.2°, I = 39; 33.6°, I = 32; 34.2°, I = 100; 37.1°, I = 44; 49.2°, I = 22; 50.5°, I = 28

Structural model:
```
Ce8Sn2Rh3
1.0
8.555 -3.452 0.000
8.555 3.452 0.000
-2.011 0.000 6.281
Ce Sn Rh
8 2 3
direct
0.091 0.091 0.414
0.192 0.616 0.090
0.310 0.310 0.414
0.384 0.808 0.910
0.616 0.192 0.090
0.690 0.690 0.586
0.808 0.384 0.910
0.909 0.909 0.586
0.238 0.238 0.834
0.762 0.762 0.166
0.000 0.000 0.000
0.307 0.693 0.500
0.693 0.307 0.500
```

***

2.
For CrSbP2, the GGA-PBE geometry in Alexandria gives the computed X-ray diffraction stick pattern in this record (a wavelength of 1.5418 Å).
Peak positions follow from Bragg's law for the DFT cell and can differ from measured ones.

Most intense lines, 10 to 90 degrees two-theta, sorted by position:
23.5°, I = 40; 23.9°, I = 55; 32.7°, I = 56; 34.1°, I = 100; 40.9°, I = 28; 41.8°, I = 19; 48.0°, I = 73; 49.0°, I = 34; 60.2°, I = 36; 78.9°, I = 16

Structural model:
```
CrSbP2
1.0
5.259 0.000 0.000
0.000 5.259 0.000
0.000 0.000 5.474
Cr Sb P
2 2 4
direct
0.000 0.000 0.000
0.500 0.500 0.500
0.000 0.000 0.500
0.500 0.500 0.000
0.000 0.500 0.000
0.000 0.500 0.500
0.500 0.000 0.000
0.500 0.000 0.500
```